No. 1
Structure and simulated powder X-ray diffraction pattern of Mn3CoN3 (a crystal structure in the Materials Project, relaxed with GGA-PBE; CuKα).
No peak broadening, texture or thermal motion is included.

Structure:
abc: 6.301 3.863 6.309
angles: 90.00 110.06 90.00
Positions (direct):
Mn 0.128 0.250 0.318
Mn 0.179 0.250 0.822
Mn 0.318 0.750 0.129
Mn 0.682 0.250 0.871
Mn 0.821 0.750 0.178
Mn 0.872 0.750 0.682
Co 0.388 0.750 0.612
Co 0.612 0.250 0.388
N 0.151 0.750 0.340
N 0.206 0.750 0.795
N 0.339 0.250 0.152
N 0.661 0.750 0.848
N 0.794 0.250 0.205
N 0.849 0.250 0.660

Peak list (10 most intense, 15 to 90 degrees two-theta, in order of rising 2θ)
30.18°, rel. 23.4
34.73°, rel. 28.6
37.12°, rel. 19.1
38.30°, rel. 100.0
47.05°, rel. 29.7
50.51°, rel. 19.5
58.88°, rel. 11.3
59.78°, rel. 10.2
71.50°, rel. 11.9
81.51°, rel. 9.3


No. 2
Structure and simulated powder X-ray diffraction pattern of Mn5CoN4 (a crystal structure in the Materials Project, relaxed with GGA-PBE; CuKα).
No peak broadening, texture or thermal motion is included.

Structure:
abc: 6.063 6.624 4.702
angles: 90.00 90.00 90.00
Positions (direct):
Mn 0.023 0.055 0.249
Mn 0.023 0.445 0.249
Mn 0.250 0.250 0.781
Mn 0.477 0.055 0.249
Mn 0.477 0.445 0.249
Mn 0.523 0.555 0.751
Mn 0.523 0.945 0.751
Mn 0.750 0.750 0.219
Mn 0.977 0.555 0.751
Mn 0.977 0.945 0.751
Co 0.250 0.750 0.350
Co 0.750 0.250 0.650
N 0.030 0.750 0.047
N 0.250 0.006 0.541
N 0.250 0.494 0.541
N 0.470 0.750 0.047
N 0.530 0.250 0.953
N 0.750 0.506 0.459
N 0.750 0.994 0.459
N 0.970 0.250 0.953

Peak list (10 most intense, 15 to 90 degrees two-theta, in order of rising 2θ)
29.46°, rel. 15.6
37.83°, rel. 100.0
38.28°, rel. 51.7
40.33°, rel. 77.3
45.38°, rel. 90.9
49.04°, rel. 25.0
56.82°, rel. 75.2
61.14°, rel. 22.1
79.34°, rel. 23.8
81.98°, rel. 32.9


No. 3
Structure and simulated powder X-ray diffraction pattern of Mn2CoN2 (a crystal structure in the Materials Project, relaxed with GGA-PBE; CuKα).
No peak broadening, texture or thermal motion is included.

Structure:
abc: 4.718 4.718 5.036
angles: 90.00 90.00 78.39
Positions (direct):
Mn 0.096 0.248 0.000
Mn 0.248 0.096 0.500
Mn 0.752 0.904 0.000
Mn 0.904 0.752 0.500
Co 0.318 0.682 0.796
Co 0.682 0.318 0.296
N 0.113 0.426 0.670
N 0.426 0.113 0.170
N 0.574 0.887 0.670
N 0.887 0.574 0.170

Peak list (10 most intense, 15 to 90 degrees two-theta, in order of rising 2θ)
26.17°, rel. 100.0
34.97°, rel. 90.4
38.98°, rel. 22.4
39.96°, rel. 67.2
40.81°, rel. 44.0
43.65°, rel. 47.3
43.97°, rel. 51.1
47.25°, rel. 30.6
54.61°, rel. 23.0
63.11°, rel. 24.8


No. 4
Structure and simulated powder X-ray diffraction pattern of MnCo2N2 (a crystal structure in the Materials Project, relaxed with GGA-PBE; CuKα).
No peak broadening, texture or thermal motion is included.

Structure:
abc: 2.878 2.878 6.453
angles: 90.00 90.00 120.00
Positions (direct):
Mn 0.000 0.000 0.000
Co 0.333 0.667 0.336
Co 0.667 0.333 0.664
N 0.333 0.667 0.805
N 0.667 0.333 0.195

Peak list (10 most intense, 15 to 90 degrees two-theta, in order of rising 2θ)
27.65°, rel. 2.2
38.73°, rel. 97.9
42.01°, rel. 26.7
46.02°, rel. 100.0
64.79°, rel. 32.1
69.40°, rel. 24.4
78.11°, rel. 11.3
80.27°, rel. 21.6
83.08°, rel. 14.7
84.55°, rel. 10.1